Calculated X-ray powder pattern
Compound: AuBrF6
Radiation: a wavelength of 1.5418 Å
Structure: a DFT-relaxed cell (GGA-PBE, the Materials Project)

Largest 6 diffraction maxima, by intensity, 15 to 90 degrees two-theta:
22.3 deg, intensity 100, (1 1 0); 25.3 deg, intensity 82, (0 1 2); 23.1 deg, intensity 73, (1 0 -2); 25.9 deg, intensity 50, (1 1 1); 49.3 deg, intensity 23, (1 2 3); 38.9 deg, intensity 23, (1 2 -2)

a b c (Å): 5.604 5.790 9.035
angles (deg): 90.00 101.76 90.00
Fractional positions:
Au 0.236 0.000 0.405
Au 0.764 0.500 0.595
Br 0.047 0.014 0.826
Br 0.953 0.514 0.174
F 0.154 0.195 0.216
F 0.210 0.279 0.877
F 0.214 0.266 0.532
F 0.261 0.726 0.271
F 0.304 0.847 0.919
F 0.323 0.805 0.583
F 0.677 0.305 0.417
F 0.696 0.347 0.081
F 0.739 0.226 0.729
F 0.786 0.766 0.468
F 0.790 0.779 0.123
F 0.846 0.695 0.784